Starting from a cell relaxed with PBE+U, the powder X-ray diffraction pattern of Sr2FeCuSO3 was calculated for Cu Kα X-rays.
Peak positions follow from Bragg's law for the DFT cell and can differ from measured ones.

Structural model:
abc: 3.9503 3.9503 15.6709
angles: 90.00 90.00 90.00
Space group P4/nmm (No. 129, origin choice 2)
Symmetry-distinct sites (fractional):
Sr: 0.2500 0.2500 0.0883 x2
Sr: 0.2500 0.2500 0.3173 x2
Fe: 0.2500 0.2500 0.8082 x2
Cu: 0.2500 0.7500 0.5000 x2
S: 0.2500 0.2500 0.5894 x2
O: 0.2500 0.2500 0.9310 x2
O: 0.2500 0.7500 0.2134 x4

Top 12 peaks for 2θ = 10–90°, sorted by position:
2θ 32.04, intensity 33
2θ 32.18, intensity 100
2θ 32.56, intensity 22
2θ 34.08, intensity 10
2θ 36.48, intensity 21
2θ 39.63, intensity 31
2θ 41.45, intensity 16
2θ 45.95, intensity 52
2θ 57.20, intensity 37
2θ 57.46, intensity 22
2θ 67.01, intensity 15
2θ 76.26, intensity 13

Starting from a cell relaxed with PBE+U, the powder X-ray diffraction pattern of Sr3Fe2Cu2Se2O5 was calculated for Cu Kα X-rays.
Peak positions follow from Bragg's law for the DFT cell and can differ from measured ones.

Structural model:
abc: 4.0062 4.0062 27.2124
angles: 90.00 90.00 90.00
Space group I4/mmm (No. 139)
Symmetry-distinct sites (fractional):
Sr: 0.0000 0.0000 0.0000 x2
Sr: 0.0000 0.0000 0.1378 x4
Fe: 0.0000 0.0000 0.4293 x4
Cu: 0.0000 0.5000 0.2500 x4
Se: 0.0000 0.0000 0.3061 x4
O: 0.0000 0.0000 0.5000 x2
O: 0.0000 0.5000 0.0802 x8

Top 12 peaks for 2θ = 10–90°, sorted by position:
2θ 31.58, intensity 30
2θ 32.08, intensity 100
2θ 34.29, intensity 11
2θ 37.26, intensity 8
2θ 37.43, intensity 42
2θ 42.97, intensity 11
2θ 45.27, intensity 51
2θ 56.56, intensity 38
2θ 57.50, intensity 16
2θ 65.95, intensity 15
2θ 72.97, intensity 10
2θ 78.37, intensity 8

Starting from a cell relaxed with PBE+U, the powder X-ray diffraction pattern of Sr4Y2Fe2Cu4O15 was calculated for Cu Kα X-rays.
Peak positions follow from Bragg's law for the DFT cell and can differ from measured ones.

Structural model:
abc: 7.7033 7.7944 22.7551
angles: 90.00 90.00 90.00
Space group Fmmm (No. 69)
Symmetry-distinct sites (fractional):
Sr: 0.0000 0.2420 0.0894 x16
Y: 0.0000 0.2500 0.2500 x8
Fe: 0.2437 0.0000 0.0000 x8
Cu: 0.2464 0.0000 0.3258 x16
O: 0.0000 0.0000 0.0000 x4
O: 0.0000 0.0000 0.1792 x8
O: 0.0000 0.0000 0.3060 x8
O: 0.2061 0.0000 0.4187 x16
O: 0.2500 0.2500 0.0000 x8
O: 0.2500 0.2500 0.1864 x16

Top 12 peaks for 2θ = 10–90°, sorted by position:
2θ 32.69, intensity 87
2θ 32.95, intensity 90
2θ 33.15, intensity 100
2θ 40.63, intensity 17
2θ 46.61, intensity 33
2θ 47.19, intensity 30
2θ 47.97, intensity 21
2θ 58.39, intensity 37
2θ 58.76, intensity 36
2θ 59.27, intensity 33
2θ 68.50, intensity 18
2θ 69.12, intensity 13

Starting from a cell relaxed with PBE+U, the powder X-ray diffraction pattern of Sr2YFeCu2O7 was calculated for Cu Kα X-rays.
Peak positions follow from Bragg's law for the DFT cell and can differ from measured ones.

Structural model:
abc: 3.7474 3.8891 11.6321
angles: 90.00 90.00 90.00
Space group Pmmm (No. 47)
Symmetry-distinct sites (fractional):
Sr: 0.0000 0.0000 0.1877 x2
Y: 0.0000 0.0000 0.5000 x1
Fe: 0.5000 0.5000 0.0000 x1
Cu: 0.5000 0.5000 0.3520 x2
O: 0.0000 0.5000 0.3775 x2
O: 0.5000 0.0000 0.0000 x1
O: 0.5000 0.0000 0.3720 x2
O: 0.5000 0.5000 0.1616 x2

Top 12 peaks for 2θ = 10–90°, sorted by position:
2θ 32.61, intensity 45
2θ 33.22, intensity 100
2θ 38.68, intensity 11
2θ 40.74, intensity 8
2θ 46.71, intensity 17
2θ 46.86, intensity 9
2θ 48.59, intensity 15
2θ 58.58, intensity 35
2θ 59.75, intensity 16
2θ 68.32, intensity 6
2θ 69.69, intensity 9
2θ 80.83, intensity 7